Computed powder XRD pattern
Compound: Rb2PuReN4
Radiation: Cu Kα
Structure: the GGA-PBE geometry in Alexandria
Peak positions follow from Bragg's law for the DFT cell and can differ from measured ones.

Main lines, in order of falling intensity (10 to 90 degrees two-theta):
d [Å]	I (rel.)
3.249	100
6.355	64
2.288	44
4.743	38
3.178	37
3.781	33

Cell and atoms:
Cell: 12.7109 5.6170 5.1120 Å, 90.00 90.00 90.00°
Fractional coordinates of all 16 atoms:
Rb  0.2103  0.2402  0.0000
Rb  0.2897  0.7598  0.5000
Rb  0.7103  0.7598  0.5000
Rb  0.7897  0.2402  0.0000
Pu  0.0000  0.7200  0.2651
Pu  0.5000  0.2800  0.7651
Re  0.0000  0.2345  0.5577
Re  0.5000  0.7655  0.0577
N  0.0000  0.8843  0.6446
N  0.0000  0.9974  0.8768
N  0.1071  0.4215  0.4436
N  0.3929  0.5785  0.9436
N  0.5000  0.0026  0.3768
N  0.5000  0.1157  0.1446
N  0.6071  0.5785  0.9436
N  0.8929  0.4215  0.4436

=====

Computed powder XRD pattern
Compound: RbPuTcN3
Radiation: Cu Kα
Structure: the GGA-PBE geometry in Alexandria
Peak positions follow from Bragg's law for the DFT cell and can differ from measured ones.

Main lines, in order of falling intensity (10 to 90 degrees two-theta):
d [Å]	I (rel.)
7.734	100
2.879	64
2.756	57
2.177	30
3.038	29
2.832	27

Cell and atoms:
Cell: 6.9738 6.9738 7.9424 Å, 102.63 102.63 31.95°
Fractional coordinates of all 12 atoms:
Rb  0.1393  0.1393  0.0625
Rb  0.8607  0.8607  0.9375
Pu  0.1593  0.1593  0.5793
Pu  0.8407  0.8407  0.4207
Tc  0.4946  0.4946  0.6515
Tc  0.5054  0.5054  0.3485
N  0.0081  0.0081  0.3253
N  0.3309  0.3309  0.5972
N  0.3523  0.3523  0.2542
N  0.6477  0.6477  0.7458
N  0.6691  0.6691  0.4028
N  0.9919  0.9919  0.6747